(1)
Starting from a PBE-relaxed structure, the powder diffractogram of LiYMg14 was computed for Cu Kα, 1.54184 Å.
Lines closer than 0.1° are merged.

Atomic structure:
```
data_LiYMg14
_cell_length_a 6.5044
_cell_length_b 6.5044
_cell_length_c 10.3000
_cell_angle_alpha 90.00
_cell_angle_beta 90.00
_cell_angle_gamma 120.00
_symmetry_space_group_name_H-M 'P -6 m 2'
_symmetry_Int_Tables_number 187
_symmetry_space_group_name_Hall 'P -6 2'
loop_
_atom_site_label
_atom_site_type_symbol
_atom_site_fract_x
_atom_site_fract_y
_atom_site_fract_z
_atom_site_occupancy
Li1 Li 0.0000 0.0000 0.0000 1
Y1 Y 0.0000 0.0000 0.5000 1
Mg1 Mg 0.0019 0.5009 0.0000 1
Mg2 Mg 0.0088 0.5044 0.5000 1
Mg3 Mg 0.1663 0.3325 0.2454 1
Mg4 Mg 0.6667 0.3333 0.2532 1
```

Peak list (10 most intense, 10° ≤ 2θ ≤ 80°, most intense first)
2theta	d [Å]	I_rel	(hkl)
36.36	2.471	1000	2 0 2
17.95	4.942	275	1 0 1
34.84	2.575	249	0 0 4
31.77	2.816	249	2 0 0
68.21	1.375	192	2 2 4
63.46	1.466	182	2 0 6
56.60	1.626	175	2 2 0
47.86	1.900	152	2 0 4
69.16	1.358	139	4 0 2
28.79	3.101	94	1 1 1


(2)
Starting from a PBE-relaxed structure, the powder diffractogram of SeO3 was computed for Cu Kα, 1.54184 Å.
Lines closer than 0.1° are merged.

Atomic structure:
```
data_SeO3
_cell_length_a 10.095
_cell_length_b 10.095
_cell_length_c 5.552
_cell_angle_alpha 90.00
_cell_angle_beta 90.00
_cell_angle_gamma 90.00
_symmetry_space_group_name_H-M 'P -4 21 c'
_symmetry_Int_Tables_number 114
_symmetry_space_group_name_Hall 'P -4 2n'
loop_
_atom_site_label
_atom_site_type_symbol
_atom_site_fract_x
_atom_site_fract_y
_atom_site_fract_z
_atom_site_occupancy
Se1 Se 0.011 0.221 0.439 1
O1 O 0.053 0.664 0.605 1
O2 O 0.095 0.240 0.194 1
O3 O 0.101 0.117 0.654 1
```

Peak list (10 most intense, 10° ≤ 2θ ≤ 80°, most intense first)
2theta	d [Å]	I_rel	(hkl)
18.24	4.865	1000	1 0 1
24.95	3.569	650	2 2 0
35.92	2.500	402	3 2 1
25.43	3.503	299	2 1 1
23.82	3.735	196	2 0 1
41.20	2.191	133	2 2 2
12.40	7.138	133	1 1 0
61.10	1.517	108	5 4 1
47.94	1.897	102	5 0 1
35.57	2.524	94	4 0 0


(3)
Starting from a PBE-relaxed structure, the powder diffractogram of Zr2FeCo3 was computed for Cu Kα, 1.54184 Å.
Lines closer than 0.1° are merged.

Atomic structure:
```
data_Zr2FeCo3
_cell_length_a 5.0032
_cell_length_b 5.0032
_cell_length_c 11.8333
_cell_angle_alpha 90.00
_cell_angle_beta 90.00
_cell_angle_gamma 120.00
_symmetry_space_group_name_H-M 'R -3 m'
_symmetry_Int_Tables_number 166
_symmetry_space_group_name_Hall '-R 3 2"'
loop_
_atom_site_label
_atom_site_type_symbol
_atom_site_fract_x
_atom_site_fract_y
_atom_site_fract_z
_atom_site_occupancy
Zr1 Zr 0.0000 0.0000 0.1266 1
Fe1 Fe 0.0000 0.0000 0.5000 1
Co1 Co 0.0000 0.5000 0.0000 1
```

Peak list (10 most intense, 10° ≤ 2θ ≤ 80°, most intense first)
2theta	d [Å]	I_rel	(hkl)
42.81	2.113	1000	1 1 3
42.42	2.131	518	0 2 1
43.57	2.077	435	0 1 5
35.90	2.502	423	1 1 0
36.79	2.443	422	1 0 4
44.54	2.034	391	2 0 2
76.10	1.251	232	2 2 0
69.28	1.356	220	3 0 3
78.26	1.222	214	2 0 8
69.84	1.347	196	1 2 5


(4)
Starting from a PBE-relaxed structure, the powder diffractogram of Ti3As was computed for Cu Kα, 1.54184 Å.
Lines closer than 0.1° are merged.

Atomic structure:
```
data_Ti3As
_cell_length_a 10.167
_cell_length_b 10.167
_cell_length_c 5.117
_cell_angle_alpha 90.00
_cell_angle_beta 90.00
_cell_angle_gamma 90.00
_symmetry_space_group_name_H-M 'P 42/n'
_symmetry_Int_Tables_number 86
loop_
_symmetry_equiv_pos_as_xyz
'x,y,z'
'-x,-y,-z'
'-y,x+1/2,z+1/2'
'y,-x+1/2,-z+1/2'
'-x+1/2,-y+1/2,z'
'x+1/2,y+1/2,-z'
'y+1/2,-x,z+1/2'
'-y+1/2,x,-z+1/2'
loop_
_atom_site_label
_atom_site_type_symbol
_atom_site_fract_x
_atom_site_fract_y
_atom_site_fract_z
_atom_site_occupancy
Ti1 Ti 0.034 0.932 0.245 1
Ti2 Ti 0.107 0.278 0.036 1
Ti3 Ti 0.145 0.831 0.715 1
As1 As 0.044 0.291 0.538 1
```

Peak list (10 most intense, 10° ≤ 2θ ≤ 80°, most intense first)
2theta	d [Å]	I_rel	(hkl)
40.61	2.221	1000	1 4 1
39.64	2.274	910	4 2 0
37.31	2.410	845	1 1 2
36.38	2.470	834	3 2 1
24.71	3.603	825	2 0 1
43.41	2.084	774	2 2 2
37.53	2.396	740	3 3 0
45.49	1.994	672	1 5 0
45.30	2.002	671	3 1 2
49.03	1.858	374	5 1 1


(5)
Starting from a PBE-relaxed structure, the powder diffractogram of KLaP2S6 was computed for Cu Kα, 1.54184 Å.
Lines closer than 0.1° are merged.

Atomic structure:
```
data_KLaP2S6
_cell_length_a 12.189
_cell_length_b 7.662
_cell_length_c 11.487
_cell_angle_alpha 90.00
_cell_angle_beta 109.68
_cell_angle_gamma 90.00
_symmetry_space_group_name_H-M 'P 1 21/c 1'
_symmetry_Int_Tables_number 14
_symmetry_space_group_name_Hall '-P 2ybc'
loop_
_atom_site_label
_atom_site_type_symbol
_atom_site_fract_x
_atom_site_fract_y
_atom_site_fract_z
_atom_site_occupancy
K1 K 0.131 0.094 0.375 1
La1 La 0.352 0.607 0.597 1
P1 P 0.211 0.618 0.267 1
P2 P 0.329 0.100 0.754 1
S1 S 0.117 0.526 0.367 1
S2 S 0.132 0.704 0.092 1
S3 S 0.227 0.214 0.145 1
S4 S 0.325 0.695 0.862 1
S5 S 0.411 0.182 0.931 1
S6 S 0.445 0.517 0.184 1
```

Peak list (10 most intense, 10° ≤ 2θ ≤ 80°, most intense first)
2theta	d [Å]	I_rel	(hkl)
32.16	2.783	1000	4 1 -2
25.00	3.561	989	1 2 -1
29.77	3.002	698	2 2 -2
14.17	6.252	683	0 1 1
36.07	2.490	601	3 2 1
15.44	5.738	499	2 0 0
13.90	6.372	497	1 1 0
30.69	2.913	492	1 1 3
35.23	2.548	444	0 1 4
33.12	2.705	443	0 0 4


(6)
Starting from a PBE-relaxed structure, the powder diffractogram of Al was computed for Cu Kα, 1.54184 Å.
Lines closer than 0.1° are merged.

Atomic structure:
```
data_Al
_cell_length_a 2.8125
_cell_length_b 2.8125
_cell_length_c 4.8668
_cell_angle_alpha 90.00
_cell_angle_beta 90.00
_cell_angle_gamma 120.00
_symmetry_space_group_name_H-M 'P 63/m m c'
_symmetry_Int_Tables_number 194
_symmetry_space_group_name_Hall '-P 6c 2c'
loop_
_atom_site_label
_atom_site_type_symbol
_atom_site_fract_x
_atom_site_fract_y
_atom_site_fract_z
_atom_site_occupancy
Al1 Al 0.3333 0.6667 0.2500 1
```

Peak list (6 most intense, 10° ≤ 2θ ≤ 80°, most intense first)
2theta	d [Å]	I_rel	(hkl)
41.46	2.178	1000	1 0 1
36.92	2.434	545	0 0 2
78.58	1.217	256	1 1 2
69.64	1.350	211	1 0 3
66.49	1.406	161	1 1 0
53.21	1.721	158	1 0 2